1.
Starting from a cell relaxed with GGA-PBE, the XRD peak list of Th2Si7Ru12 was calculated for λ = 1.5418 Å (Cu Kα).
Lines closer than 0.1° are merged.

Principal peaks in the range 10 to 90 degrees two-theta, most intense first:
Position (°2θ), Rel. int.
36.31, 1000
45.60, 178
28.25, 154
50.01, 130
24.78, 113
43.30, 108
78.17, 107
53.01, 103
38.85, 96
69.98, 95

Crystal structure
```
Th2Si7Ru12
1.0
9.652 0.000 0.000
-4.826 8.358 0.000
0.000 0.000 3.978
Th Si Ru
2 7 12
direct
0.000 0.000 0.000
0.333 0.667 0.500
0.058 0.432 0.000
0.266 0.228 0.500
0.374 0.942 0.000
0.568 0.626 0.000
0.667 0.333 0.500
0.772 0.038 0.500
0.962 0.734 0.500
0.036 0.268 0.500
0.103 0.715 0.000
0.233 0.964 0.500
0.285 0.388 0.000
0.458 0.225 0.000
0.518 0.461 0.500
0.539 0.058 0.500
0.612 0.897 0.000
0.732 0.767 0.500
0.768 0.542 0.000
0.775 0.232 0.000
0.942 0.482 0.500
```


2.
Starting from a cell relaxed with GGA-PBE, the XRD peak list of Ba2Tl2Bi3 was calculated for λ = 1.5418 Å (Cu Kα).
Lines closer than 0.1° are merged.

Principal peaks in the range 10 to 90 degrees two-theta, most intense first:
Position (°2θ), Rel. int.
29.58, 1000
29.68, 766
33.74, 538
35.42, 334
20.91, 271
57.82, 240
40.64, 240
30.69, 238
25.21, 238
40.47, 199

Crystal structure
```
Ba2Tl2Bi3
1.0
9.043 -2.657 0.000
9.043 2.657 0.000
-8.975 0.000 11.527
Ba Tl Bi
4 4 6
direct
0.087 0.087 0.434
0.242 0.242 0.834
0.758 0.758 0.166
0.913 0.913 0.566
0.101 0.101 0.173
0.447 0.447 0.188
0.553 0.553 0.812
0.899 0.899 0.827
0.118 0.118 0.962
0.333 0.333 0.667
0.407 0.407 0.378
0.593 0.593 0.622
0.667 0.667 0.333
0.882 0.882 0.038
```